Entry 1:
Calculated powder diffractogram
Compound: Rb2OsPtI6
Radiation: Cu Kα (λ = 1.5418 Å)
Structure: a DFT-relaxed cell (PBE, Alexandria)
Lines closer than 0.1° are merged.

Cell and atoms:
```
data_Rb2OsPtI6
_cell_length_a 7.9617
_cell_length_b 7.9617
_cell_length_c 11.3299
_cell_angle_alpha 90.00
_cell_angle_beta 90.00
_cell_angle_gamma 90.00
_space_group_name_H-M_alt 'I 4/m m m'
_space_group_IT_number 139
_space_group_name_Hall '-I 4 2'
loop_
_atom_site_label
_atom_site_type_symbol
_atom_site_fract_x
_atom_site_fract_y
_atom_site_fract_z
_atom_site_occupancy
Rb1 Rb 0.0000 0.5000 0.2500 1
Os1 Os 0.0000 0.0000 0.0000 1
Pt1 Pt 0.0000 0.0000 0.5000 1
I1 I 0.0000 0.0000 0.2449 1
I2 I 0.2469 0.2469 0.0000 1
```

Peak list (8 most intense, 10° ≤ 2θ ≤ 80°, low angle first)
(1 1 0), 15.71°, rel. 100; (1 1 2), 22.29°, rel. 38; (2 0 2), 27.38°, rel. 53; (0 0 4), 31.59°, rel. 51; (2 2 0), 31.79°, rel. 100; (2 2 4), 45.43°, rel. 74; (4 0 0), 45.57°, rel. 37; (4 0 4), 56.51°, rel. 38

Entry 2:
Calculated powder diffractogram
Compound: Rb2TaOsI6
Radiation: Cu Kα (λ = 1.5418 Å)
Structure: a DFT-relaxed cell (PBE, Alexandria)
Lines closer than 0.1° are merged.

Cell and atoms:
```
data_Rb2TaOsI6
_cell_length_a 8.0392
_cell_length_b 8.0392
_cell_length_c 11.3143
_cell_angle_alpha 90.00
_cell_angle_beta 90.00
_cell_angle_gamma 90.00
_space_group_name_H-M_alt 'I 4/m m m'
_space_group_IT_number 139
_space_group_name_Hall '-I 4 2'
loop_
_atom_site_label
_atom_site_type_symbol
_atom_site_fract_x
_atom_site_fract_y
_atom_site_fract_z
_atom_site_occupancy
Rb1 Rb 0.0000 0.5000 0.2500 1
Ta1 Ta 0.0000 0.0000 0.0000 1
Os1 Os 0.0000 0.0000 0.5000 1
I1 I 0.0000 0.0000 0.2546 1
I2 I 0.2460 0.2460 0.5000 1
```

Peak list (8 most intense, 10° ≤ 2θ ≤ 80°, low angle first)
(1 1 0), 15.61°, rel. 95; (2 0 0), 22.15°, rel. 35; (2 0 2), 27.22°, rel. 56; (2 2 0), 31.48°, rel. 100; (0 0 4), 31.63°, rel. 49; (4 0 0), 45.11°, rel. 37; (2 2 4), 45.23°, rel. 73; (4 0 4), 56.14°, rel. 38

Entry 3:
Calculated powder diffractogram
Compound: Sb2OsRuI
Radiation: Cu Kα (λ = 1.5418 Å)
Structure: a DFT-relaxed cell (PBE, Alexandria)
Lines closer than 0.1° are merged.

Cell and atoms:
```
data_Sb2OsRuI
_cell_length_a 5.0430
_cell_length_b 5.0430
_cell_length_c 5.5919
_cell_angle_alpha 90.00
_cell_angle_beta 90.00
_cell_angle_gamma 90.00
_space_group_name_H-M_alt 'P 4/m m m'
_space_group_IT_number 123
_space_group_name_Hall '-P 4 2'
loop_
_atom_site_label
_atom_site_type_symbol
_atom_site_fract_x
_atom_site_fract_y
_atom_site_fract_z
_atom_site_occupancy
Sb1 Sb 0.0000 0.5000 0.0000 1
Os1 Os 0.0000 0.0000 0.0000 1
Ru1 Ru 0.5000 0.5000 0.5000 1
I1 I 0.0000 0.0000 0.5000 1
```

Peak list (8 most intense, 10° ≤ 2θ ≤ 80°, low angle first)
(1 0 0), 17.59°, rel. 57; (1 0 1), 23.76°, rel. 35; (1 1 1), 29.71°, rel. 62; (0 0 2), 32.01°, rel. 67; (2 0 0), 35.61°, rel. 100; (2 0 2), 48.62°, rel. 82; (2 2 0), 51.24°, rel. 35; (2 2 2), 61.70°, rel. 40

Entry 4:
Calculated powder diffractogram
Compound: Sb2OsSI
Radiation: Cu Kα (λ = 1.5418 Å)
Structure: a DFT-relaxed cell (PBE, Alexandria)
Lines closer than 0.1° are merged.

Cell and atoms:
```
data_Sb2OsSI
_cell_length_a 5.0829
_cell_length_b 5.0829
_cell_length_c 5.4935
_cell_angle_alpha 90.00
_cell_angle_beta 90.00
_cell_angle_gamma 90.00
_space_group_name_H-M_alt 'P 4/m m m'
_space_group_IT_number 123
_space_group_name_Hall '-P 4 2'
loop_
_atom_site_label
_atom_site_type_symbol
_atom_site_fract_x
_atom_site_fract_y
_atom_site_fract_z
_atom_site_occupancy
Sb1 Sb 0.0000 0.5000 0.0000 1
Os1 Os 0.0000 0.0000 0.0000 1
S1 S 0.5000 0.5000 0.5000 1
I1 I 0.0000 0.0000 0.5000 1
```

Peak list (8 most intense, 10° ≤ 2θ ≤ 80°, low angle first)
(0 0 1), 16.13°, rel. 55; (1 0 0), 17.45°, rel. 100; (1 1 1), 29.70°, rel. 34; (0 0 2), 32.60°, rel. 49; (2 0 0), 35.32°, rel. 79; (1 0 2), 37.21°, rel. 31; (2 0 2), 48.82°, rel. 63; (2 2 2), 61.68°, rel. 31

Entry 5:
Calculated powder diffractogram
Compound: TiOsI
Radiation: Cu Kα (λ = 1.5418 Å)
Structure: a DFT-relaxed cell (PBE, Alexandria)
Lines closer than 0.1° are merged.

Cell and atoms:
```
data_TiOsI
_cell_length_a 4.0329
_cell_length_b 3.7281
_cell_length_c 20.7802
_cell_angle_alpha 90.00
_cell_angle_beta 90.00
_cell_angle_gamma 90.00
_space_group_name_H-M_alt 'A m m 2'
_space_group_IT_number 38
_space_group_name_Hall 'A 2 -2'
loop_
_atom_site_label
_atom_site_type_symbol
_atom_site_fract_x
_atom_site_fract_y
_atom_site_fract_z
_atom_site_occupancy
Ti1 Ti 0.0000 0.0000 0.0000 1
Ti2 Ti 0.5000 0.0000 0.3414 1
Os1 Os 0.0000 0.0000 0.4197 1
Os2 Os 0.5000 0.0000 0.9233 1
I1 I 0.0000 0.0000 0.7656 1
I2 I 0.5000 0.0000 0.0962 1
```

Peak list (8 most intense, 10° ≤ 2θ ≤ 80°, low angle first)
(0 0 4), 17.07°, rel. 26; (0 0 6), 25.72°, rel. 67; (0 1 3), 27.16°, rel. 28; (1 0 4), 28.01°, rel. 33; (1 1 1), 33.00°, rel. 65; (1 1 3), 35.25°, rel. 59; (1 1 5), 39.41°, rel. 100; (2 0 0), 45.01°, rel. 68

Entry 6:
Calculated powder diffractogram
Compound: Y3OsI3
Radiation: Cu Kα (λ = 1.5418 Å)
Structure: a DFT-relaxed cell (PBE, Alexandria)
Lines closer than 0.1° are merged.

Cell and atoms:
```
data_Y3OsI3
_cell_length_a 8.8682
_cell_length_b 4.2906
_cell_length_c 12.3491
_cell_angle_alpha 90.00
_cell_angle_beta 93.64
_cell_angle_gamma 90.00
_space_group_name_H-M_alt 'P 1 21/m 1'
_space_group_IT_number 11
_space_group_name_Hall '-P 2yb'
loop_
_atom_site_label
_atom_site_type_symbol
_atom_site_fract_x
_atom_site_fract_y
_atom_site_fract_z
_atom_site_occupancy
Y1 Y 0.0950 0.2500 0.3117 1
Y2 Y 0.1426 0.2500 0.8703 1
Y3 Y 0.2495 0.7500 0.1007 1
Os1 Os 0.0447 0.2500 0.0881 1
I1 I 0.1417 0.2500 0.6070 1
I2 I 0.3466 0.7500 0.3603 1
I3 I 0.4308 0.7500 0.8673 1
```

Peak list (8 most intense, 10° ≤ 2θ ≤ 80°, low angle first)
(2 0 -2), 24.00°, rel. 14; (0 1 2), 25.29°, rel. 21; (0 0 4), 28.98°, rel. 100; (2 1 1), 30.22°, rel. 14; (2 1 3), 37.25°, rel. 16; (2 1 -4), 40.48°, rel. 31; (4 0 -1), 40.98°, rel. 15; (0 2 0), 42.12°, rel. 23

Entry 7:
Calculated powder diffractogram
Compound: PI3
Radiation: Cu Kα (λ = 1.5418 Å)
Structure: a DFT-relaxed cell (PBE, Alexandria)
Lines closer than 0.1° are merged.

Cell and atoms:
```
data_PI3
_cell_length_a 7.5497
_cell_length_b 7.5497
_cell_length_c 8.1518
_cell_angle_alpha 90.00
_cell_angle_beta 90.00
_cell_angle_gamma 120.00
_space_group_name_H-M_alt 'P 63'
_space_group_IT_number 173
_space_group_name_Hall 'P 6c'
loop_
_atom_site_label
_atom_site_type_symbol
_atom_site_fract_x
_atom_site_fract_y
_atom_site_fract_z
_atom_site_occupancy
P1 P 0.3333 0.6667 0.0000 1
I1 I 0.0601 0.3473 0.8725 1
```

Peak list (8 most intense, 10° ≤ 2θ ≤ 80°, low angle first)
(1 0 1), 17.39°, rel. 25; (0 0 2), 21.81°, rel. 45; (1 1 0), 23.57°, rel. 15; (1 1 1), 26.01°, rel. 100; (2 0 1), 29.44°, rel. 15; (1 1 2), 32.32°, rel. 21; (1 1 3), 40.92°, rel. 29; (3 0 2), 47.30°, rel. 15

Entry 8:
Calculated powder diffractogram
Compound: PPb4I5
Radiation: Cu Kα (λ = 1.5418 Å)
Structure: a DFT-relaxed cell (PBE, Alexandria)
Lines closer than 0.1° are merged.

Cell and atoms:
```
data_PPb4I5
_cell_length_a 20.0803
_cell_length_b 4.5071
_cell_length_c 9.1002
_cell_angle_alpha 90.00
_cell_angle_beta 103.39
_cell_angle_gamma 90.00
_space_group_name_H-M_alt 'C 1 2/m 1'
_space_group_IT_number 12
_space_group_name_Hall '-C 2y'
loop_
_atom_site_label
_atom_site_type_symbol
_atom_site_fract_x
_atom_site_fract_y
_atom_site_fract_z
_atom_site_occupancy
P1 P 0.0000 0.0000 0.0000 1
Pb1 Pb 0.0013 0.5000 0.2221 1
Pb2 Pb 0.1488 0.0000 0.0756 1
I1 I 0.0000 0.0000 0.5000 1
I2 I 0.1656 0.5000 0.3376 1
I3 I 0.1678 0.5000 0.8264 1
```

Peak list (8 most intense, 10° ≤ 2θ ≤ 80°, low angle first)
(3 1 1), 27.28°, rel. 16; (6 0 0), 27.39°, rel. 48; (1 1 -2), 27.86°, rel. 100; (5 1 0), 30.24°, rel. 22; (7 1 -2), 39.40°, rel. 34; (5 1 2), 39.57°, rel. 53; (0 2 0), 40.01°, rel. 20; (6 2 0), 49.17°, rel. 19

Entry 9:
Calculated powder diffractogram
Compound: Pr4PPdI2
Radiation: Cu Kα (λ = 1.5418 Å)
Structure: a DFT-relaxed cell (PBE, Alexandria)
Lines closer than 0.1° are merged.

Cell and atoms:
```
data_Pr4PPdI2
_cell_length_a 7.6783
_cell_length_b 4.1797
_cell_length_c 8.0995
_cell_angle_alpha 90.00
_cell_angle_beta 106.71
_cell_angle_gamma 90.00
_space_group_name_H-M_alt 'P 1 2/m 1'
_space_group_IT_number 10
_space_group_name_Hall '-P 2y'
loop_
_atom_site_label
_atom_site_type_symbol
_atom_site_fract_x
_atom_site_fract_y
_atom_site_fract_z
_atom_site_occupancy
Pr1 Pr 0.2188 0.0000 0.1984 1
Pr2 Pr 0.2714 0.5000 0.8064 1
P1 P 0.0000 0.5000 0.0000 1
Pd1 Pd 0.5000 0.0000 0.0000 1
I1 I 0.0000 0.0000 0.5000 1
I2 I 0.5000 0.5000 0.5000 1
```

Peak list (8 most intense, 10° ≤ 2θ ≤ 80°, low angle first)
(2 0 -2), 28.24°, rel. 56; (1 1 1), 28.57°, rel. 100; (1 1 -2), 31.25°, rel. 15; (2 0 2), 38.27°, rel. 14; (1 1 -3), 39.81°, rel. 30; (3 1 -1), 41.38°, rel. 42; (0 2 0), 43.29°, rel. 19; (2 2 -2), 52.49°, rel. 20

Entry 10:
Calculated powder diffractogram
Compound: Rb2PPdI6
Radiation: Cu Kα (λ = 1.5418 Å)
Structure: a DFT-relaxed cell (PBE, Alexandria)
Lines closer than 0.1° are merged.

Cell and atoms:
```
data_Rb2PPdI6
_cell_length_a 8.0526
_cell_length_b 8.0526
_cell_length_c 11.3069
_cell_angle_alpha 90.00
_cell_angle_beta 90.00
_cell_angle_gamma 90.00
_space_group_name_H-M_alt 'I 4/m m m'
_space_group_IT_number 139
_space_group_name_Hall '-I 4 2'
loop_
_atom_site_label
_atom_site_type_symbol
_atom_site_fract_x
_atom_site_fract_y
_atom_site_fract_z
_atom_site_occupancy
Rb1 Rb 0.0000 0.5000 0.2500 1
P1 P 0.0000 0.0000 0.0000 1
Pd1 Pd 0.0000 0.0000 0.5000 1
I1 I 0.0000 0.0000 0.2498 1
I2 I 0.2497 0.2497 0.0000 1
```

Peak list (8 most intense, 10° ≤ 2θ ≤ 80°, low angle first)
(1 1 0), 15.56°, rel. 15; (2 0 2), 27.19°, rel. 100; (2 2 0), 31.42°, rel. 63; (0 0 4), 31.65°, rel. 31; (4 0 0), 45.03°, rel. 23; (2 2 4), 45.20°, rel. 45; (4 2 2), 53.40°, rel. 30; (4 0 4), 56.09°, rel. 24

Entry 11:
Calculated powder diffractogram
Compound: Pm4PRuI2
Radiation: Cu Kα (λ = 1.5418 Å)
Structure: a DFT-relaxed cell (PBE, Alexandria)
Lines closer than 0.1° are merged.

Cell and atoms:
```
data_Pm4PRuI2
_cell_length_a 7.4933
_cell_length_b 4.1212
_cell_length_c 8.1442
_cell_angle_alpha 90.00
_cell_angle_beta 105.75
_cell_angle_gamma 90.00
_space_group_name_H-M_alt 'P 1 2/m 1'
_space_group_IT_number 10
_space_group_name_Hall '-P 2y'
loop_
_atom_site_label
_atom_site_type_symbol
_atom_site_fract_x
_atom_site_fract_y
_atom_site_fract_z
_atom_site_occupancy
Pm1 Pm 0.2219 0.0000 0.1866 1
Pm2 Pm 0.2578 0.5000 0.8194 1
P1 P 0.5000 0.0000 0.0000 1
Ru1 Ru 0.0000 0.5000 0.0000 1
I1 I 0.0000 0.0000 0.5000 1
I2 I 0.5000 0.5000 0.5000 1
```

Peak list (8 most intense, 10° ≤ 2θ ≤ 80°, low angle first)
(1 1 1), 28.77°, rel. 100; (1 1 -2), 31.50°, rel. 18; (0 0 3), 34.32°, rel. 12; (1 1 -3), 39.89°, rel. 14; (3 1 -1), 42.33°, rel. 27; (0 2 0), 43.94°, rel. 13; (2 2 -2), 53.35°, rel. 13; (1 1 4), 56.51°, rel. 12

Entry 12:
Calculated powder diffractogram
Compound: Pr8P3SeI4
Radiation: Cu Kα (λ = 1.5418 Å)
Structure: a DFT-relaxed cell (PBE, Alexandria)
Lines closer than 0.1° are merged.

Cell and atoms:
```
data_Pr8P3SeI4
_cell_length_a 8.5742
_cell_length_b 8.5742
_cell_length_c 23.1739
_cell_angle_alpha 90.00
_cell_angle_beta 90.00
_cell_angle_gamma 120.00
_space_group_name_H-M_alt 'R -3 m'
_space_group_IT_number 166
_space_group_name_Hall '-R 3 2"'
loop_
_atom_site_label
_atom_site_type_symbol
_atom_site_fract_x
_atom_site_fract_y
_atom_site_fract_z
_atom_site_occupancy
Pr1 Pr 0.0000 0.0000 0.2297 1
Pr2 Pr 0.0118 0.5059 0.7703 1
P1 P 0.0000 0.5000 0.5000 1
Se1 Se 0.0000 0.0000 0.5000 1
I1 I 0.0000 0.0000 0.0000 1
I2 I 0.0000 0.5000 0.0000 1
```

Peak list (8 most intense, 10° ≤ 2θ ≤ 80°, low angle first)
(0 2 4), 28.56°, rel. 100; (2 0 5), 30.86°, rel. 30; (0 0 9), 34.84°, rel. 13; (2 0 8), 39.46°, rel. 24; (2 2 0), 42.16°, rel. 40; (4 0 4), 51.71°, rel. 19; (2 2 9), 55.80°, rel. 20; (2 4 4), 68.84°, rel. 15

Entry 13:
Calculated powder diffractogram
Compound: Pu4P2I5
Radiation: Cu Kα (λ = 1.5418 Å)
Structure: a DFT-relaxed cell (PBE, Alexandria)
Lines closer than 0.1° are merged.

Cell and atoms:
```
data_Pu4P2I5
_cell_length_a 6.0573
_cell_length_b 10.5492
_cell_length_c 11.5848
_cell_angle_alpha 90.00
_cell_angle_beta 90.00
_cell_angle_gamma 90.00
_space_group_name_H-M_alt 'I m m m'
_space_group_IT_number 71
_space_group_name_Hall '-I 2 2'
loop_
_atom_site_label
_atom_site_type_symbol
_atom_site_fract_x
_atom_site_fract_y
_atom_site_fract_z
_atom_site_occupancy
Pu1 Pu 0.0000 0.0000 0.1797 1
Pu2 Pu 0.0000 0.1457 0.0000 1
P1 P 0.0000 0.0000 0.4158 1
I1 I 0.0000 0.3277 0.1986 1
I2 I 0.0000 0.5000 0.5000 1
```

Peak list (8 most intense, 10° ≤ 2θ ≤ 80°, low angle first)
(0 1 1), 11.34°, rel. 91; (1 0 1), 16.51°, rel. 74; (1 1 0), 16.87°, rel. 40; (2 0 0), 29.49°, rel. 61; (1 3 2), 33.27°, rel. 100; (0 3 3), 34.50°, rel. 42; (1 0 5), 41.74°, rel. 29; (2 3 3), 46.01°, rel. 38

Entry 14:
Calculated powder diffractogram
Compound: Pu3PI3
Radiation: Cu Kα (λ = 1.5418 Å)
Structure: a DFT-relaxed cell (PBE, Alexandria)
Lines closer than 0.1° are merged.

Cell and atoms:
```
data_Pu3PI3
_cell_length_a 8.7906
_cell_length_b 4.1826
_cell_length_c 12.2000
_cell_angle_alpha 90.00
_cell_angle_beta 90.03
_cell_angle_gamma 90.00
_space_group_name_H-M_alt 'P 1 21/m 1'
_space_group_IT_number 11
_space_group_name_Hall '-P 2yb'
loop_
_atom_site_label
_atom_site_type_symbol
_atom_site_fract_x
_atom_site_fract_y
_atom_site_fract_z
_atom_site_occupancy
Pu1 Pu 0.0976 0.2500 0.1101 1
Pu2 Pu 0.1146 0.2500 0.6475 1
Pu3 Pu 0.3318 0.7500 0.8838 1
P1 P 0.1187 0.2500 0.8783 1
I1 I 0.1503 0.2500 0.3788 1
I2 I 0.3792 0.7500 0.6250 1
I3 I 0.3819 0.7500 0.1387 1
```

Peak list (8 most intense, 10° ≤ 2θ ≤ 80°, low angle first)
(1 1 -2), 27.78°, rel. 23; (0 0 4), 29.28°, rel. 50; (2 1 0), 29.48°, rel. 100; (3 0 -2), 33.94°, rel. 19; (4 0 0), 41.07°, rel. 15; (2 1 4), 42.03°, rel. 68; (0 2 0), 43.26°, rel. 20; (0 2 4), 53.10°, rel. 19